Record 1
Structure and theoretical powder diffractogram of Sr3Ge9Pt2 (a cell relaxed with PBE; CuKα).
Neutral-atom scattering factors, no anomalous dispersion.

a = 4.279 Å, b = 11.085 Å, c = 12.840 Å
α = 90.00°, β = 90.00°, γ = 90.00°
Space group Immm (No. 71)
Unique sites:
Sr 0.000 0.000 0.000 (multiplicity 2)
Sr 0.000 0.000 0.316 (multiplicity 4)
Ge 0.000 0.283 0.127 (multiplicity 8)
Ge 0.000 0.368 0.339 (multiplicity 8)
Ge 0.000 0.500 0.000 (multiplicity 2)
Pt 0.000 0.224 0.500 (multiplicity 4)

Largest 10 diffraction maxima, low angle first, 2θ = 10–90°:
d 6.420, I = 23
d 5.542, I = 21
d 4.195, I = 19
d 2.797, I = 31
d 2.656, I = 100
d 2.564, I = 19
d 2.202, I = 18
d 2.140, I = 49
d 2.109, I = 19
d 2.045, I = 31



Record 2
Structure and theoretical powder diffractogram of CsRbCu2F8 (a cell relaxed with PBE; CuKα).
Neutral-atom scattering factors, no anomalous dispersion.

a = 6.142 Å, b = 6.142 Å, c = 11.181 Å
α = 90.00°, β = 90.00°, γ = 90.00°
Space group I-4 (No. 82)
Unique sites:
Cs 0.000 0.000 0.000 (multiplicity 2)
Rb 0.000 0.500 0.750 (multiplicity 2)
Cu 0.000 0.000 0.500 (multiplicity 2)
Cu 0.000 0.500 0.250 (multiplicity 2)
F 0.016 0.289 0.509 (multiplicity 8)
F 0.081 0.779 0.245 (multiplicity 8)

Largest 10 diffraction maxima, low angle first, 2θ = 10–90°:
d 3.430, I = 100
d 3.071, I = 42
d 2.795, I = 37
d 2.667, I = 15
d 2.067, I = 27
d 1.835, I = 48
d 1.713, I = 22
d 1.401, I = 10
d 1.345, I = 25
d 1.233, I = 11



Record 3
Structure and theoretical powder diffractogram of Ca8Mg3Ag2 (a cell relaxed with PBE; CuKα).
Neutral-atom scattering factors, no anomalous dispersion.

a = 8.985 Å, b = 16.836 Å, c = 5.725 Å
α = 90.00°, β = 90.00°, γ = 90.00°
Space group Cmmm (No. 65)
Unique sites:
Ca 0.000 0.107 0.000 (multiplicity 4)
Ca 0.000 0.311 0.000 (multiplicity 4)
Ca 0.215 0.377 0.500 (multiplicity 8)
Mg 0.000 0.000 0.500 (multiplicity 2)
Mg 0.171 0.500 0.000 (multiplicity 4)
Ag 0.000 0.223 0.500 (multiplicity 4)

Largest 10 diffraction maxima, low angle first, 2θ = 10–90°:
d 8.418, I = 48
d 5.725, I = 28
d 4.734, I = 34
d 4.493, I = 24
d 3.964, I = 42
d 3.072, I = 20
d 2.863, I = 55
d 2.762, I = 82
d 2.707, I = 100
d 2.321, I = 25



Record 4
Structure and theoretical powder diffractogram of NaHg2Te3 (a cell relaxed with PBE; CuKα).
Neutral-atom scattering factors, no anomalous dispersion.

a = 25.221 Å, b = 4.406 Å, c = 7.250 Å
α = 90.00°, β = 98.16°, γ = 90.00°
Space group C2/m (No. 12)
Unique sites:
Na 0.163 0.000 0.445 (multiplicity 4)
Hg 0.049 0.500 0.720 (multiplicity 4)
Hg 0.186 0.000 0.938 (multiplicity 4)
Te 0.072 0.500 0.348 (multiplicity 4)
Te 0.077 0.000 0.977 (multiplicity 4)
Te 0.228 0.500 0.738 (multiplicity 4)

Largest 10 diffraction maxima, low angle first, 2θ = 10–90°:
d 7.176, I = 44
d 6.642, I = 77
d 3.894, I = 70
d 3.754, I = 84
d 3.397, I = 39
d 3.119, I = 90
d 2.732, I = 100
d 2.321, I = 71
d 2.202, I = 93
d 2.018, I = 43